Diffraction record for Rb4Fe2O5. The PXRD pattern is theoretical, not measured: it uses the GGA+U geometry in Alexandria and Cu Kα (weighted mean of Kα1 and Kα2).

Crystal structure
```
22
Lattice="3.626 -8.967 0.000 3.626 8.967 0.000 -1.698 0.000 7.162" Properties=species:S:1:pos:R:3 pbc="T T T"
Rb 2.353 8.609 5.371
Rb 1.901 3.219 2.775
Rb 2.353 0.594 5.371
Rb 4.502 3.219 0.805
Rb 1.053 -3.219 6.356
Rb 3.202 -0.594 1.790
Rb 3.653 -3.219 4.386
Rb 3.202 -8.609 1.790
Fe 2.372 6.187 0.684
Fe 4.032 6.187 2.897
Fe 1.523 -6.187 4.265
Fe 3.183 -6.187 6.478
O 1.813 4.483 0.000
O 2.087 6.293 2.627
O 1.966 1.390 0.296
O 4.316 6.293 0.954
O 1.117 -1.390 3.877
O 0.964 -4.483 3.581
O 4.438 1.390 3.285
O 1.238 -6.293 6.208
O 3.589 -1.390 6.866
O 3.467 -6.293 4.535
```

Main lines, in order of rising 2θ (2θ from 5° to 70°):
| Position (°2θ) | I (rel.) |
| --- | --- |
| 26.8 | 73 |
| 27.2 | 79 |
| 27.3 | 56 |
| 29.4 | 100 |
| 29.9 | 77 |
| 31.8 | 83 |
| 32.3 | 52 |
| 32.8 | 60 |
| 34.1 | 47 |
| 37.2 | 66 |
| 37.7 | 48 |
| 52.1 | 54 |